Theoretical powder diffractogram of LiEuTcO3 for Cu Kα (λ = 1.5418 Å), from DFT lattice parameters and positions (GGA-PBE).
No peak broadening, texture or thermal motion is included.

Top 8 peaks for 10 to 90 degrees two-theta, low angle first:
two_theta  Rel. int.
21.45  49
28.36  71
32.03  23
32.54  100
43.70  33
46.31  80
55.53  22
67.87  25

Structural model:
Lattice parameters (Å, degrees): 4.2313 4.2313 4.2313 81.12 81.12 81.12
Element x y z (fractional)
Li 0.0000 0.0000 0.0000
Eu 0.6643 0.6643 0.6643
Tc 0.2880 0.2880 0.2880
O 0.2831 0.2831 0.7849
O 0.2831 0.7849 0.2831
O 0.7849 0.2831 0.2831